The following is a calculated powder XRD pattern of PmRh2F11. It was derived from a DFT-relaxed cell (GGA-PBE, Alexandria), using Cu Kα, 1.54184 Å.
Intensities are scaled so that the largest is 100.

Atomic structure:
abc: 8.8440 8.8605 10.5327
angles: 90.00 90.00 90.00
Space group Ibam (No. 72)
Inequivalent atoms, fractional coordinates:
Pm  0.0000  0.0000  0.2500
Rh  0.1607  0.3390  0.0000
F  0.0000  0.5000  0.0000
F  0.0560  0.2209  0.1316
F  0.1922  0.3082  0.5000
F  0.2215  0.0564  0.3682

Most intense lines, 2θ from 10° to 80°, sorted by position:
h k l	Position (°2θ)	Rel. int.
1 1 0	14.15	19.3
1 1 2	22.06	100.0
2 1 1	24.01	80.5
0 2 2	26.30	71.9
3 1 0	31.97	33.8
0 0 4	34.10	22.9
4 0 2	44.40	19.2
2 2 4	45.00	33.4
3 3 2	46.83	38.5
1 3 4	47.40	36.7